Simulated powder diffractogram of YTeW2O8 for λ = 1.5418 Å (Cu Kα), from DFT lattice parameters and positions (GGA+U).
Intensities are scaled so that the largest is 100.

Main lines, sorted by position (2θ from 15° to 90°):
- (0 1 0), 15.73°, intensity 84
- (-1 1 1), 26.38°, intensity 100
- (1 1 0), 26.71°, intensity 96
- (1 -1 1), 28.76°, intensity 71
- (1 1 -2), 28.92°, intensity 71
- (0 2 -1), 29.71°, intensity 56

Crystal structure
abc: 5.167 6.063 6.608
angles: 109.82 112.93 90.77
Space group P-1 (No. 2)
One atom of each set of equivalent atoms:
Y  0.000  0.000  0.000
Te  0.500  0.500  0.000
W  0.249  0.676  0.499
O  0.006  0.678  0.669
O  0.055  0.797  0.275
O  0.473  0.528  0.323
O  0.481  0.080  0.260

---

Simulated powder diffractogram of YTeW2O8 for λ = 1.5418 Å (Cu Kα), from DFT lattice parameters and positions (GGA+U).
Intensities are scaled so that the largest is 100.

Main lines, sorted by position (2θ from 15° to 90°):
- (0 1 -2), 18.82°, intensity 76
- (0 1 2), 24.50°, intensity 49
- (1 1 -2), 24.93°, intensity 100
- (1 -1 2), 26.44°, intensity 82
- (-1 1 2), 28.87°, intensity 69
- (1 1 2), 31.42°, intensity 51

Crystal structure
abc: 5.138 6.600 11.000
angles: 104.91 95.14 90.75
Space group P-1 (No. 2)
One atom of each set of equivalent atoms:
Y  0.217  0.270  0.275
Te  0.288  0.355  0.751
W  0.244  0.852  0.494
W  0.248  0.850  0.002
O  0.009  0.024  0.889
O  0.064  0.601  0.365
O  0.078  0.632  0.875
O  0.080  0.075  0.408
O  0.393  0.695  0.101
O  0.409  0.713  0.601
O  0.449  0.128  0.608
O  0.456  0.128  0.101